(1)
The following is a theoretical X-ray powder pattern of Er3Co. It was derived from a DFT-relaxed cell (PBE, the Materials Project), using Cu Kα, 1.54184 Å.

Most intense lines, 2θ = 5–70°, by intensity:
2θ (°), I (rel.)
32.46, 1000
33.57, 444
35.78, 391
31.50, 289
32.11, 282
35.05, 254
59.80, 219
58.70, 209
50.77, 162
55.70, 157

Structure:
a = 6.8390 Å, b = 9.2859 Å, c = 6.1046 Å
α = 90.00°, β = 90.00°, γ = 90.00°
Fractional positions:
1 Er 0.0402 0.2500 0.1343
2 Er 0.1758 0.0657 0.6767
3 Er 0.1758 0.4343 0.6767
4 Er 0.3242 0.5657 0.1767
5 Er 0.3242 0.9343 0.1767
6 Er 0.4598 0.7500 0.6343
7 Er 0.5402 0.2500 0.3657
8 Er 0.6758 0.0657 0.8233
9 Er 0.6758 0.4343 0.8233
10 Er 0.8242 0.5657 0.3233
11 Er 0.8242 0.9343 0.3233
12 Er 0.9598 0.7500 0.8657
13 Co 0.1113 0.7500 0.4465
14 Co 0.3887 0.2500 0.9465
15 Co 0.6113 0.7500 0.0535
16 Co 0.8887 0.2500 0.5535

(2)
The following is a theoretical X-ray powder pattern of Er2Co7. It was derived from a DFT-relaxed cell (PBE, the Materials Project), using Cu Kα, 1.54184 Å.

Most intense lines, 2θ = 5–70°, by intensity:
2θ (°), I (rel.)
43.03, 1000
36.38, 516
32.48, 460
42.34, 354
34.48, 346
45.28, 144
63.01, 141
68.02, 114
64.24, 111
66.31, 102

Structure:
a = 12.3509 Å, b = 12.3509 Å, c = 12.3509 Å
α = 23.07°, β = 23.07°, γ = 23.07°
Fractional positions:
1 Er 0.0515 0.0515 0.0515
2 Er 0.1481 0.1481 0.1481
3 Er 0.8519 0.8519 0.8519
4 Er 0.9485 0.9485 0.9485
5 Co 0.0000 0.5000 0.5000
6 Co 0.1081 0.6103 0.6103
7 Co 0.2784 0.2784 0.2784
8 Co 0.3888 0.3888 0.3888
9 Co 0.3897 0.3897 0.8919
10 Co 0.3897 0.8919 0.3897
11 Co 0.5000 0.0000 0.5000
12 Co 0.5000 0.5000 0.0000
13 Co 0.5000 0.5000 0.5000
14 Co 0.6103 0.1081 0.6103
15 Co 0.6103 0.6103 0.1081
16 Co 0.6112 0.6112 0.6112
17 Co 0.7216 0.7216 0.7216
18 Co 0.8919 0.3897 0.3897

(3)
The following is a theoretical X-ray powder pattern of ErFeCo. It was derived from a DFT-relaxed cell (PBE, the Materials Project), using Cu Kα, 1.54184 Å.

Most intense lines, 2θ = 5–70°, by intensity:
2θ (°), I (rel.)
35.59, 1000
41.87, 764
43.64, 621
41.08, 409
41.69, 348
35.00, 252
66.68, 238
37.70, 222
21.18, 196
63.15, 191

Structure:
a = 4.7717 Å, b = 5.1277 Å, c = 7.2948 Å
α = 90.00°, β = 90.00°, γ = 90.00°
Fractional positions:
1 Er 0.0000 0.2500 0.1219
2 Er 0.0000 0.7500 0.8781
3 Er 0.5000 0.2500 0.3781
4 Er 0.5000 0.7500 0.6219
5 Fe 0.2500 0.2500 0.7500
6 Fe 0.2500 0.7500 0.2500
7 Fe 0.7500 0.2500 0.7500
8 Fe 0.7500 0.7500 0.2500
9 Co 0.0000 0.0000 0.5000
10 Co 0.0000 0.5000 0.5000
11 Co 0.5000 0.0000 0.0000
12 Co 0.5000 0.5000 0.0000

(4)
The following is a theoretical X-ray powder pattern of Pr3ErMn6Fe2Co26. It was derived from a DFT-relaxed cell (PBE, the Materials Project), using Cu Kα, 1.54184 Å.

Most intense lines, 2θ = 5–70°, by intensity:
2θ (°), I (rel.)
43.08, 1000
42.80, 640
43.92, 517
36.85, 397
30.29, 393
38.10, 318
62.35, 288
63.00, 258
48.41, 214
44.19, 135

Structure:
a = 6.3865 Å, b = 6.3865 Å, c = 12.7817 Å
α = 97.19°, β = 97.19°, γ = 82.83°
Fractional positions:
1 Pr 0.0000 0.0000 0.0000
2 Pr 0.0013 0.0013 0.4991
3 Pr 0.3157 0.3157 0.8421
4 Er 0.3181 0.3181 0.3405
5 Mn 0.1530 0.6604 0.6687
6 Mn 0.1539 0.6600 0.1705
7 Mn 0.6604 0.1530 0.6687
8 Mn 0.6600 0.1539 0.1705
9 Mn 0.6596 0.6596 0.4226
10 Mn 0.6609 0.6609 0.9236
11 Fe 0.5639 0.5639 0.2182
12 Fe 0.5651 0.5651 0.7168
13 Co 0.0023 0.0023 0.7503
14 Co 0.0027 0.4986 0.9994
15 Co 0.0052 0.0052 0.2511
16 Co 0.0047 0.4976 0.4966
17 Co 0.3138 0.3138 0.0958
18 Co 0.3143 0.3143 0.5904
19 Co 0.3140 0.8133 0.3428
20 Co 0.3144 0.8135 0.8426
21 Co 0.3715 0.6558 0.5261
22 Co 0.3719 0.9462 0.1726
23 Co 0.3743 0.9410 0.6695
24 Co 0.3745 0.6589 0.0300
25 Co 0.4976 0.0047 0.4966
26 Co 0.4986 0.0027 0.9994
27 Co 0.6558 0.3715 0.5261
28 Co 0.6571 0.9449 0.3138
29 Co 0.6578 0.9423 0.8125
30 Co 0.6589 0.3745 0.0300
31 Co 0.7523 0.7523 0.6223
32 Co 0.7528 0.7528 0.1248
33 Co 0.8133 0.3140 0.3428
34 Co 0.8135 0.3144 0.8426
35 Co 0.9410 0.3743 0.6695
36 Co 0.9423 0.6578 0.8125
37 Co 0.9449 0.6571 0.3138
38 Co 0.9462 0.3719 0.1726